For HfN2, a structure optimized by DFT (PBE) gives the theoretical powder X-ray diffraction pattern in this record (CuKα).

Structure:
```
data_HfN2
_cell_length_a 5.128
_cell_length_b 5.128
_cell_length_c 5.128
_cell_angle_alpha 90.00
_cell_angle_beta 90.00
_cell_angle_gamma 90.00
_symmetry_space_group_name_H-M 'P a -3'
_symmetry_Int_Tables_number 205
_symmetry_space_group_name_Hall '-P 2ac 2ab 3'
loop_
_atom_site_label
_atom_site_fract_x
_atom_site_fract_y
_atom_site_fract_z
Hf1 0.000 0.000 0.000
N1 0.085 0.585 0.915
```

Largest 5 diffraction maxima, sorted by position, 2θ = 5–70°:
2theta  I/Imax
30.2  100
35.0  73
50.3  49
59.8  55
62.8  16